No. 1
Tb7Ni2Au2: theoretical powder diffractogram (Cu Ka), based on the PBE geometry in Alexandria.

Structural model:
```
data_Tb7Ni2Au2
_cell_length_a 7.7081
_cell_length_b 10.9077
_cell_length_c 6.9282
_cell_angle_alpha 90.00
_cell_angle_beta 90.00
_cell_angle_gamma 90.00
_symmetry_space_group_name_H-M 'C m m m'
_symmetry_Int_Tables_number 65
_symmetry_space_group_name_Hall '-C 2 2'
loop_
_atom_site_label
_atom_site_type_symbol
_atom_site_fract_x
_atom_site_fract_y
_atom_site_fract_z
Tb1 Tb 0.0000 0.0000 0.0000
Tb2 Tb 0.0000 0.5000 0.2469
Tb3 Tb 0.2500 0.2500 0.2528
Ni1 Ni 0.0000 0.2941 0.0000
Au1 Au 0.1870 0.0000 0.5000
```

The 8 most intense peaks (2θ = 5–70°), in order of rising 2θ:
2θ = 26.46°, I = 33.3
2θ = 28.36°, I = 41.7
2θ = 29.43°, I = 51.7
2θ = 30.57°, I = 38.7
2θ = 32.84°, I = 68.0
2θ = 37.72°, I = 40.3
2θ = 38.65°, I = 100.0
2θ = 63.64°, I = 20.3

No. 2
VSi2Os2: theoretical powder diffractogram (Cu Ka), based on the PBE geometry in Alexandria.

Structural model:
```
data_VSi2Os2
_cell_length_a 6.9759
_cell_length_b 6.9759
_cell_length_c 2.8066
_cell_angle_alpha 90.00
_cell_angle_beta 90.00
_cell_angle_gamma 90.00
_symmetry_space_group_name_H-M 'P 4/m b m'
_symmetry_Int_Tables_number 127
_symmetry_space_group_name_Hall '-P 4 2ab'
loop_
_atom_site_label
_atom_site_type_symbol
_atom_site_fract_x
_atom_site_fract_y
_atom_site_fract_z
V1 V 0.0000 0.0000 0.0000
Si1 Si 0.1458 0.3542 0.0000
Os1 Os 0.1524 0.6524 0.5000
```

The 8 most intense peaks (2θ = 5–70°), in order of rising 2θ:
2θ = 17.98°, I = 18.6
2θ = 28.61°, I = 81.5
2θ = 31.89°, I = 18.4
2θ = 36.85°, I = 16.7
2θ = 40.91°, I = 44.8
2θ = 41.29°, I = 13.6
2θ = 43.37°, I = 100.0
2θ = 65.83°, I = 16.1

No. 3
Ca6Pt5: theoretical powder diffractogram (Cu Ka), based on the PBE geometry in Alexandria.

Structural model:
```
data_Ca6Pt5
_cell_length_a 4.9160
_cell_length_b 7.0657
_cell_length_c 14.7287
_cell_angle_alpha 90.00
_cell_angle_beta 90.00
_cell_angle_gamma 90.00
_symmetry_space_group_name_H-M 'I m m m'
_symmetry_Int_Tables_number 71
_symmetry_space_group_name_Hall '-I 2 2'
loop_
_atom_site_label
_atom_site_type_symbol
_atom_site_fract_x
_atom_site_fract_y
_atom_site_fract_z
Ca1 Ca 0.0000 0.2484 0.0000
Ca2 Ca 0.0000 0.2508 0.3319
Pt1 Pt 0.0000 0.0000 0.1662
Pt2 Pt 0.0000 0.5000 0.1667
Pt3 Pt 0.0000 0.5000 0.5000
```

The 8 most intense peaks (2θ = 5–70°), in order of rising 2θ:
2θ = 25.20°, I = 27.1
2θ = 25.64°, I = 40.2
2θ = 36.27°, I = 100.0
2θ = 36.58°, I = 48.8
2θ = 44.95°, I = 20.0
2θ = 52.70°, I = 17.0
2θ = 65.04°, I = 17.9
2θ = 65.65°, I = 34.8

Q: Number 1 is which compound?
A: Tb7Ni2Au2